Entry 1:
Theoretical powder diffractogram of ThAl8Fe4 for Cu Kα (λ = 1.5418 Å), from a crystal structure in the Materials Project, relaxed with GGA-PBE.
Intensities are scaled so that the largest is 100.

```
data_ThAl8Fe4
_chemical_formula_sum 'Th2 Al16 Fe8'
_space_group_name_H-M_alt 'I 4/m m m'
_space_group_IT_number 139
_space_group_name_Hall '-I 4 2'
_cell_length_a 8.801
_cell_length_b 8.801
_cell_length_c 5.041
_cell_angle_alpha 90.00
_cell_angle_beta 90.00
_cell_angle_gamma 90.00
loop_
_atom_site_label
_atom_site_type_symbol
_atom_site_fract_x
_atom_site_fract_y
_atom_site_fract_z
_atom_site_occupancy
Th1 Th 0.000 0.000 0.000 1
Al1 Al 0.000 0.224 0.500 1
Al2 Al 0.000 0.346 0.000 1
Fe1 Fe 0.250 0.250 0.250 1
```

Most intense lines, 10° ≤ 2θ ≤ 90°, most intense first:
41.1 deg, rel. 100, hkl 4 0 0; 28.7 deg, rel. 97, hkl 2 2 0; 41.3 deg, rel. 63, hkl 2 0 2; 14.2 deg, rel. 53, hkl 1 1 0; 20.3 deg, rel. 51, hkl 1 0 1; 35.4 deg, rel. 36, hkl 3 0 1; 32.2 deg, rel. 26, hkl 3 1 0; 59.6 deg, rel. 26, hkl 4 2 2

Entry 2:
Theoretical powder diffractogram of Zr6CI12 for Cu Kα (λ = 1.5418 Å), from a crystal structure in the Materials Project, relaxed with GGA-PBE.
Intensities are scaled so that the largest is 100.

```
data_Zr6CI12
_chemical_formula_sum 'Zr18 C3 I36'
_space_group_name_H-M_alt 'R -3'
_space_group_IT_number 148
_space_group_name_Hall '-R 3'
_cell_length_a 15.0020
_cell_length_b 15.0020
_cell_length_c 10.5257
_cell_angle_alpha 90.00
_cell_angle_beta 90.00
_cell_angle_gamma 120.00
loop_
_atom_site_label
_atom_site_type_symbol
_atom_site_fract_x
_atom_site_fract_y
_atom_site_fract_z
_atom_site_occupancy
Zr1 Zr 0.0392 0.1386 0.3761 1
C1 C 0.0000 0.0000 0.5000 1
I1 I 0.0303 0.5879 0.1659 1
I2 I 0.0497 0.1729 0.8123 1
```

Most intense lines, 10° ≤ 2θ ≤ 90°, most intense first:
30.1 deg, rel. 100, hkl 3 1 2; 26.1 deg, rel. 51, hkl 4 -3 1; 43.5 deg, rel. 36, hkl 2 5 0; 42.5 deg, rel. 28, hkl 4 -3 4; 10.8 deg, rel. 28, hkl 1 0 1; 51.0 deg, rel. 20, hkl 2 5 3; 25.4 deg, rel. 17, hkl 0 0 3; 53.8 deg, rel. 13, hkl 8 -6 2